# KErW2O8
Calculated X-ray diffraction stick pattern, Cu Kα (weighted mean of Kα1 and Kα2). Input: a crystal structure in Alexandria, relaxed with PBE+U.
Lines closer than 0.1° are merged.

Crystal structure
Lattice parameters (Å, degrees): 11.011 10.583 7.440 90.00 130.64 90.00
Space group C2/c (No. 15)
Symmetry-distinct sites (fractional):
K1 0.000 0.210 0.250 (multiplicity 4)
Er1 0.000 0.224 0.750 (multiplicity 4)
W1 0.197 0.496 0.713 (multiplicity 8)
O1 0.015 0.388 0.962 (multiplicity 8)
O2 0.136 0.098 0.693 (multiplicity 8)
O3 0.189 0.435 0.443 (multiplicity 8)
O4 0.205 0.152 0.119 (multiplicity 8)

Peak list (8 most intense, 10° ≤ 2θ ≤ 80°, in order of rising 2θ)
| (hkl) | 2θ (°) | I (rel.) |
| --- | --- | --- |
| 1 1 -1 | 14.6 | 35 |
| 0 2 0 | 16.8 | 26 |
| 2 2 0 | 27.2 | 100 |
| 2 2 -2 | 29.4 | 98 |
| 0 0 2 | 31.7 | 35 |
| 3 1 0 | 33.3 | 24 |
| 0 4 0 | 33.9 | 22 |
| 0 4 2 | 47.1 | 23 |